Theoretical X-ray diffraction stick pattern of HgSbOF8 for a wavelength of 1.5418 Å, from DFT lattice parameters and positions (PBE).

Cell and atoms:
Cell lengths 6.399, 7.016, 9.741 Å; angles 91.36, 93.20, 108.41 degrees
Space group P-1 (No. 2)
Inequivalent atoms, fractional coordinates:
Hg  0.038  0.436  0.379 x2
Sb  0.299  0.192  0.684 x2
O  0.137  0.357  0.126 x2
F  0.013  0.878  0.353 x2
F  0.065  0.723  0.959 x2
F  0.220  0.193  0.145 x2
F  0.270  0.118  0.870 x2
F  0.291  0.922  0.633 x2
F  0.301  0.461  0.738 x2
F  0.333  0.271  0.495 x2
F  0.382  0.718  0.287 x2

Main lines, in order of falling intensity (10° ≤ 2θ ≤ 80°):
hkl 1 1 0, 2θ = 22.77°, rel. 100; hkl 1 -1 1, 2θ = 18.95°, rel. 73; hkl 1 0 0, 2θ = 14.62°, rel. 61; hkl 1 0 -1, 2θ = 16.72°, rel. 48; hkl 0 1 1, 2θ = 16.48°, rel. 42; hkl 0 1 0, 2θ = 13.31°, rel. 39; hkl 1 -2 1, 2θ = 27.68°, rel. 35; hkl 2 -1 1, 2θ = 30.15°, rel. 31; hkl -1 2 2, 2θ = 32.20°, rel. 31; hkl 0 2 -1, 2θ = 27.98°, rel. 30